Diffraction record for Li8VCo3P6O24. The X-ray diffraction stick pattern is computed, not measured: it uses a DFT-relaxed cell (GGA+U, the Materials Project) and Cu Ka.

Principal peaks in the range 2θ = 10–80°, in order of rising 2θ:
2θ (°)  d/Å  Rel. int.  (hkl)
19.86  4.470  26  0 1 -1
20.62  4.307  57  1 2 1
23.71  3.753  100  2 0 1
28.78  3.102  26  2 2 0
32.76  2.734  48  1 2 3
34.76  2.581  29  1 -2 1

Structural model:
```
Li8VCo3P6O24
1.0
8.622 0.000 0.000
3.991 7.649 0.000
3.990 2.437 7.254
Li V Co P O
8 1 3 6 24
Cartesian
0.000 0.000 0.000
5.799 7.960 3.577
4.814 4.016 3.131
6.583 6.040 1.198
7.922 2.579 6.202
10.814 6.349 5.919
8.758 4.034 2.259
10.474 3.175 4.637
3.877 4.393 0.011
8.749 7.353 2.145
8.108 1.734 3.592
13.024 4.726 5.758
2.120 1.801 1.411
9.045 9.066 5.069
7.493 5.027 4.372
6.399 2.308 0.725
13.378 8.036 6.485
11.815 6.079 2.830
1.136 1.565 0.256
4.134 5.420 1.710
4.177 2.699 5.197
3.170 2.889 1.012
6.006 4.691 4.520
6.732 8.062 1.750
8.890 8.361 6.503
8.498 8.222 3.941
7.946 5.983 5.528
5.702 3.723 0.443
7.674 5.632 2.947
6.578 1.674 4.970
5.411 1.200 0.993
8.411 3.760 4.472
8.449 6.295 0.260
7.338 2.617 1.924
10.377 6.207 2.382
11.128 4.441 6.642
13.528 8.989 5.250
12.721 6.701 6.114
12.509 7.438 3.109
11.880 5.063 4.008
10.034 2.339 2.705
14.832 7.786 7.015
```